Entry 1:
This entry pairs a crystal structure of Dy2ZnGaIr4 with its calculated XRD peak list. Radiation: Cu Kα (λ = 1.5418 Å). Structure: a DFT-relaxed cell (PBE, OQMD).

a b c (Å): 4.5845 4.5845 6.4888
angles (deg): 90.00 90.00 90.00
Space group P4/mmm (No. 123)
Inequivalent atoms, fractional coordinates:
1 Dy 0.0000 0.0000 0.0000 (multiplicity 1)
2 Dy 0.5000 0.5000 0.5000 (multiplicity 1)
3 Zn 0.0000 0.0000 0.5000 (multiplicity 1)
4 Ga 0.5000 0.5000 0.0000 (multiplicity 1)
5 Ir 0.0000 0.5000 0.2467 (multiplicity 4)

Peak list (12 most intense, 2θ from 15° to 90°, sorted by position)
2theta, I (rel.), index
23.8, 50, 1 0 1
27.5, 71, 1 1 0
39.3, 1000, 2 0 0
46.4, 26, 2 1 1
48.6, 21, 2 0 2
56.8, 172, 2 2 0
62.4, 11, 3 0 1
64.2, 29, 3 1 0
71.2, 349, 3 1 2
76.3, 9, 3 2 1
84.5, 112, 4 0 0
89.4, 9, 4 1 1


Entry 2:
This entry pairs a crystal structure of SmTlCl3 with its calculated XRD peak list. Radiation: Cu Kα (λ = 1.5418 Å). Structure: a DFT-relaxed cell (PBE, OQMD).

a b c (Å): 12.1802 7.6727 6.8944
angles (deg): 90.00 105.98 90.00
Space group C2/m (No. 12)
Inequivalent atoms, fractional coordinates:
1 Sm 0.0000 0.0000 0.0000 (multiplicity 2)
2 Sm 0.0000 0.0000 0.5000 (multiplicity 2)
3 Tl 0.1575 0.5000 0.1942 (multiplicity 4)
4 Cl 0.0864 0.2504 0.7931 (multiplicity 8)
5 Cl 0.1843 0.0000 0.3346 (multiplicity 4)

Peak list (12 most intense, 2θ from 15° to 90°, sorted by position)
2theta, I (rel.), index
17.7, 715, 1 1 -1
23.2, 639, 0 2 0
25.6, 1000, 3 1 0
27.0, 289, 2 0 -2
29.0, 417, 2 2 -1
29.8, 284, 4 0 -1
32.2, 762, 1 1 2
32.8, 433, 2 2 1
35.9, 627, 2 2 -2
42.3, 634, 3 3 0
46.8, 421, 4 0 2
52.6, 269, 6 2 0


Entry 3:
This entry pairs a crystal structure of Cu7Ag33 with its calculated XRD peak list. Radiation: Cu Kα (λ = 1.5418 Å). Structure: a DFT-relaxed cell (PBE, OQMD).

a b c (Å): 6.4327 10.4077 11.1451
angles (deg): 71.60 73.24 86.16
Space group P1 (No. 1)
Inequivalent atoms, fractional coordinates:
1 Cu 0.0000 0.0000 0.0000 (multiplicity 1)
2 Cu 0.0415 0.2456 0.0554 (multiplicity 1)
3 Cu 0.1585 0.7504 0.1471 (multiplicity 1)
4 Cu 0.5034 0.4957 0.4969 (multiplicity 1)
5 Cu 0.5742 0.8762 0.0744 (multiplicity 1)
6 Cu 0.6874 0.3628 0.1731 (multiplicity 1)
7 Cu 0.8328 0.1276 0.3131 (multiplicity 1)
8 Ag 0.0266 0.1214 0.5201 (multiplicity 1)
9 Ag 0.0881 0.3712 0.5712 (multiplicity 1)
10 Ag 0.0957 0.4969 0.1006 (multiplicity 1)
11 Ag 0.1324 0.6219 0.6184 (multiplicity 1)
12 Ag 0.1773 0.8724 0.6731 (multiplicity 1)
13 Ag 0.1990 0.9974 0.1904 (multiplicity 1)
14 Ag 0.2256 0.1194 0.7265 (multiplicity 1)
15 Ag 0.2487 0.2430 0.2444 (multiplicity 1)
16 Ag 0.2763 0.3754 0.7753 (multiplicity 1)
17 Ag 0.3089 0.4924 0.2971 (multiplicity 1)
18 Ag 0.3244 0.6263 0.8254 (multiplicity 1)
19 Ag 0.3553 0.7468 0.3380 (multiplicity 1)
20 Ag 0.3702 0.8747 0.8862 (multiplicity 1)
21 Ag 0.4146 0.9956 0.3934 (multiplicity 1)
22 Ag 0.4155 0.1261 0.9286 (multiplicity 1)
23 Ag 0.4624 0.2459 0.4409 (multiplicity 1)
24 Ag 0.4736 0.3731 0.9788 (multiplicity 1)
25 Ag 0.5236 0.6265 0.0296 (multiplicity 1)
26 Ag 0.5550 0.7423 0.5430 (multiplicity 1)
27 Ag 0.6055 0.9969 0.5969 (multiplicity 1)
28 Ag 0.6431 0.1224 0.1227 (multiplicity 1)
29 Ag 0.6498 0.2504 0.6480 (multiplicity 1)
30 Ag 0.7031 0.4970 0.6964 (multiplicity 1)
31 Ag 0.7258 0.6171 0.2257 (multiplicity 1)
32 Ag 0.7533 0.7476 0.7501 (multiplicity 1)
33 Ag 0.7879 0.8716 0.2592 (multiplicity 1)
34 Ag 0.7965 0.9980 0.8076 (multiplicity 1)
35 Ag 0.8581 0.2459 0.8537 (multiplicity 1)
36 Ag 0.8710 0.3677 0.3718 (multiplicity 1)
37 Ag 0.8974 0.4947 0.9067 (multiplicity 1)
38 Ag 0.9293 0.6200 0.4172 (multiplicity 1)
39 Ag 0.9473 0.7566 0.9591 (multiplicity 1)
40 Ag 0.9770 0.8764 0.4652 (multiplicity 1)

Peak list (12 most intense, 2θ from 15° to 90°, sorted by position)
2theta, I (rel.), index
38.2, 1000, 2 3 3
38.3, 332, -1 4 1
44.1, 220, 1 4 -1
44.6, 418, 3 -1 2
64.5, 195, 4 3 1
64.7, 64, 1 7 4
64.8, 63, 3 2 7
77.3, 76, 3 7 2
77.8, 72, 4 -2 6
77.9, 143, 5 2 5
78.0, 71, 4 -5 1
81.9, 63, 4 6 6


Entry 4:
This entry pairs a crystal structure of Pr11Pb10 with its calculated XRD peak list. Radiation: Cu Kα (λ = 1.5418 Å). Structure: a DFT-relaxed cell (PBE, OQMD).

a b c (Å): 12.2846 12.2846 17.8804
angles (deg): 90.00 90.00 90.00
Space group I4/mmm (No. 139)
Inequivalent atoms, fractional coordinates:
1 Pr 0.0000 0.0000 0.1661 (multiplicity 4)
2 Pr 0.0000 0.2515 0.3101 (multiplicity 16)
3 Pr 0.0000 0.3328 0.1021 (multiplicity 16)
4 Pr 0.1706 0.1706 0.5000 (multiplicity 8)
5 Pb 0.0000 0.0000 0.3866 (multiplicity 4)
6 Pb 0.0000 0.3542 0.5000 (multiplicity 8)
7 Pb 0.0000 0.5000 0.2500 (multiplicity 4)
8 Pb 0.1323 0.1323 0.0000 (multiplicity 8)
9 Pb 0.2055 0.2055 0.1747 (multiplicity 16)

Peak list (12 most intense, 2θ from 15° to 90°, sorted by position)
2theta, I (rel.), index
29.1, 188, 4 0 0
29.8, 453, 2 1 5
30.0, 189, 0 0 6
30.2, 648, 3 2 3
30.5, 401, 3 1 4
30.8, 1000, 3 3 0
32.5, 214, 3 3 2
33.3, 439, 3 0 5
33.4, 189, 2 0 6
39.7, 310, 5 0 3
44.2, 298, 6 0 0
60.7, 173, 7 2 5


Entry 5:
This entry pairs a crystal structure of Zr3Si4Ir with its calculated XRD peak list. Radiation: Cu Kα (λ = 1.5418 Å). Structure: a DFT-relaxed cell (PBE, OQMD).

a b c (Å): 5.2291 3.8551 6.6488
angles (deg): 90.00 92.48 90.00
Space group Pm (No. 6)
Inequivalent atoms, fractional coordinates:
1 Zr 0.0000 0.0000 0.0000 (multiplicity 1)
2 Zr 0.2225 0.0000 0.4999 (multiplicity 1)
3 Zr 0.4839 0.5000 0.8589 (multiplicity 1)
4 Si 0.2183 0.5000 0.2319 (multiplicity 1)
5 Si 0.5282 0.0000 0.1601 (multiplicity 1)
6 Si 0.7223 0.0000 0.6052 (multiplicity 1)
7 Si 0.9894 0.5000 0.7129 (multiplicity 1)
8 Ir 0.7396 0.5000 0.3429 (multiplicity 1)

Peak list (12 most intense, 2θ from 15° to 90°, sorted by position)
2theta, I (rel.), index
28.8, 588, 1 1 0
31.3, 233, 1 0 -2
31.5, 635, 1 1 -1
32.2, 411, 1 1 1
35.7, 1000, 0 1 2
36.4, 506, 2 0 -1
37.5, 417, 2 0 1
40.3, 432, 1 1 2
43.5, 315, 2 1 -1
44.5, 292, 2 1 1
47.1, 387, 0 2 0
61.0, 382, 2 2 -1


Entry 6:
This entry pairs a crystal structure of In2FeTe3Se with its calculated XRD peak list. Radiation: Cu Kα (λ = 1.5418 Å). Structure: a DFT-relaxed cell (PBE, OQMD).

a b c (Å): 6.1531 6.1753 7.4397
angles (deg): 65.73 65.67 89.14
Space group P1 (No. 1)
Inequivalent atoms, fractional coordinates:
1 In 0.0000 0.0000 0.0000 (multiplicity 1)
2 In 0.2449 0.7611 0.5117 (multiplicity 1)
3 Fe 0.4831 0.5185 0.9964 (multiplicity 1)
4 Te 0.0982 0.1735 0.2651 (multiplicity 1)
5 Te 0.6226 0.5821 0.2626 (multiplicity 1)
6 Te 0.8329 0.3817 0.7380 (multiplicity 1)
7 Se 0.3954 0.8783 0.7558 (multiplicity 1)

Peak list (12 most intense, 2θ from 15° to 90°, sorted by position)
2theta, I (rel.), index
24.8, 403, 1 1 0
25.3, 1000, 1 -1 1
26.5, 127, 0 1 2
33.6, 106, -1 2 1
41.1, 163, 2 2 2
41.5, 164, 0 2 -1
41.6, 174, 2 0 -1
41.8, 142, 2 -2 0
42.0, 310, 2 0 3
49.1, 90, 1 3 3
49.3, 144, 3 -1 0
49.7, 104, -1 1 3


Entry 7:
This entry pairs a crystal structure of GaIr8 with its calculated XRD peak list. Radiation: Cu Kα (λ = 1.5418 Å). Structure: a DFT-relaxed cell (PBE, OQMD).

a b c (Å): 8.6034 3.8561 29.1638
angles (deg): 90.00 90.08 90.00
Space group C2/m (No. 12)
Inequivalent atoms, fractional coordinates:
1 Ga 0.0474 0.0000 0.2494 (multiplicity 4)
2 Ir 0.0486 0.0000 0.9553 (multiplicity 4)
3 Ir 0.0514 0.5000 0.8066 (multiplicity 4)
4 Ir 0.0530 0.5000 0.1040 (multiplicity 4)
5 Ir 0.1484 0.0000 0.8663 (multiplicity 4)
6 Ir 0.1503 0.5000 0.0145 (multiplicity 4)
7 Ir 0.1535 0.0000 0.1638 (multiplicity 4)
8 Ir 0.2474 0.5000 0.9256 (multiplicity 4)
9 Ir 0.2481 0.5000 0.2223 (multiplicity 4)

Peak list (12 most intense, 2θ from 15° to 90°, sorted by position)
2theta, I (rel.), index
37.7, 381, 1 1 -9
40.1, 1000, 1 1 -10
40.3, 899, 3 1 3
41.1, 672, 3 1 4
42.7, 475, 1 1 -11
45.6, 291, 2 0 13
47.1, 322, 0 2 0
47.2, 260, 0 2 1
47.6, 298, 4 0 -7
48.6, 238, 2 0 14
82.9, 242, 1 3 -10
83.5, 212, 5 1 17


Entry 8:
This entry pairs a crystal structure of Dy2Cu4Ni3 with its calculated XRD peak list. Radiation: Cu Kα (λ = 1.5418 Å). Structure: a DFT-relaxed cell (PBE, OQMD).

a b c (Å): 4.8761 8.6043 12.5543
angles (deg): 90.00 90.00 90.00
Space group Fmmm (No. 69)
Inequivalent atoms, fractional coordinates:
1 Dy 0.0000 0.0000 0.1304 (multiplicity 8)
2 Cu 0.0000 0.1687 0.3321 (multiplicity 16)
3 Ni 0.0000 0.0000 0.5000 (multiplicity 4)
4 Ni 0.2500 0.2500 0.0000 (multiplicity 8)

Peak list (12 most intense, 2θ from 15° to 90°, sorted by position)
2theta, I (rel.), index
30.0, 234, 1 1 3
35.4, 236, 0 2 4
36.9, 304, 2 0 0
37.1, 356, 1 3 1
41.8, 313, 1 1 5
42.5, 1000, 1 3 3
42.6, 197, 2 2 0
43.2, 195, 0 0 6
45.1, 146, 2 2 2
47.2, 278, 2 0 4
70.3, 210, 3 3 3
75.3, 170, 2 2 8


Entry 9:
This entry pairs a crystal structure of ZnCuOsPd with its calculated XRD peak list. Radiation: Cu Kα (λ = 1.5418 Å). Structure: a DFT-relaxed cell (PBE, OQMD).

a b c (Å): 6.0983 6.0983 6.0983
angles (deg): 90.00 90.00 90.00
Space group F-43m (No. 216)
Inequivalent atoms, fractional coordinates:
1 Zn 0.0000 0.0000 0.0000 (multiplicity 4)
2 Cu 0.2500 0.2500 0.2500 (multiplicity 4)
3 Os 0.0000 0.0000 0.5000 (multiplicity 4)
4 Pd 0.2500 0.2500 0.7500 (multiplicity 4)

Peak list (10 most intense, 2θ from 15° to 90°, sorted by position)
2theta, I (rel.), index
25.3, 193, 1 1 1
29.3, 43, 2 0 0
41.9, 1000, 2 2 0
49.6, 99, 3 1 1
51.9, 13, 2 2 2
60.8, 163, 4 0 0
66.9, 43, 3 3 1
68.9, 18, 4 2 0
76.5, 327, 4 2 2
82.1, 34, 5 1 1